Starting from the GGA-PBE geometry in Alexandria, the PXRD pattern of CeTl4Se4 was simulated for Cu Kα X-rays.
Lines closer than 0.1° are merged.

Peak list (6 most intense, 10 to 90 degrees two-theta, by angle)
| d (Å) | 2θ/deg | I (rel.) |
| --- | --- | --- |
| 3.562 | 25.0 | 36 |
| 3.109 | 28.7 | 100 |
| 3.089 | 28.9 | 49 |
| 2.200 | 41.0 | 35 |
| 2.182 | 41.4 | 54 |
| 1.781 | 51.3 | 21 |

Structural model:
Lattice parameters (Å, degrees): 7.6800 7.6800 10.7550 118.77 118.77 32.97
Positions (direct):
Ce: 0.0000 0.0000 0.0000
Tl: 0.2008 0.2008 0.7778
Tl: 0.4127 0.4127 0.6002
Tl: 0.5873 0.5873 0.3998
Tl: 0.7992 0.7992 0.2222
Se: 0.1709 0.1709 0.2881
Se: 0.4021 0.4021 0.0695
Se: 0.5979 0.5979 0.9305
Se: 0.8291 0.8291 0.7119